Simulated powder X-ray diffraction pattern of LiNbO3 for copper Kα, from DFT lattice parameters and positions (GGA-PBE).
Kinematic intensities with the Lorentz-polarization factor, no thermal factor.

The 6 most intense peaks (10 to 80 degrees two-theta), low angle first:
two_theta  I (rel.)
23.3  100
32.2  38
34.2  23
47.7  19
52.3  18
55.1  15

Structural model:
```
LiNbO3
1.0
5.240 0.000 0.000
-2.615 4.934 0.000
-0.003 -1.543 25.912
Li Nb O
12 12 36
direct
0.000 0.000 0.000 Li
0.000 0.000 0.500 Li
0.001 0.000 0.250 Li
0.100 0.199 0.738 Li
0.333 0.666 0.334 Li
0.334 0.667 0.084 Li
0.334 0.667 0.834 Li
0.337 0.673 0.584 Li
0.667 0.333 0.167 Li
0.667 0.333 0.417 Li
0.667 0.333 0.917 Li
0.765 0.528 0.656 Li
0.035 0.071 0.371 Nb
0.036 0.070 0.121 Nb
0.036 0.072 0.870 Nb
0.040 0.088 0.621 Nb
0.369 0.737 0.204 Nb
0.370 0.738 0.954 Nb
0.371 0.739 0.454 Nb
0.387 0.766 0.706 Nb
0.702 0.404 0.037 Nb
0.703 0.404 0.287 Nb
0.705 0.409 0.537 Nb
0.707 0.418 0.788 Nb
0.017 0.788 0.576 O
0.019 0.787 0.075 O
0.103 0.454 0.158 O
0.108 0.456 0.659 O
0.139 0.668 0.264 O
0.140 0.645 0.764 O
0.177 0.986 0.681 O
0.196 0.001 0.181 O
0.278 0.918 0.389 O
0.278 0.919 0.889 O
0.307 0.251 0.306 O
0.309 0.255 0.806 O
0.352 0.454 0.408 O
0.352 0.454 0.908 O
0.436 0.121 0.991 O
0.436 0.122 0.491 O
0.473 0.334 0.097 O
0.477 0.341 0.597 O
0.529 0.668 0.014 O
0.530 0.670 0.514 O
0.592 0.568 0.723 O
0.611 0.584 0.223 O
0.641 0.918 0.140 O
0.643 0.898 0.639 O
0.685 0.118 0.742 O
0.686 0.121 0.241 O
0.765 0.780 0.826 O
0.769 0.788 0.325 O
0.806 0.001 0.431 O
0.806 0.002 0.930 O
0.860 0.333 0.847 O
0.863 0.334 0.348 O
0.945 0.251 0.056 O
0.946 0.252 0.555 O
0.974 0.587 0.472 O
0.975 0.585 0.973 O
```

Simulated powder X-ray diffraction pattern of YCo12B6 for copper Kα, from DFT lattice parameters and positions (GGA-PBE).
Kinematic intensities with the Lorentz-polarization factor, no thermal factor.

The 6 most intense peaks (10 to 80 degrees two-theta), low angle first:
two_theta  I (rel.)
32.7  34
33.0  26
41.3  53
41.9  100
49.9  40
59.0  22

Structural model:
```
YCo12B6
1.0
4.696 2.711 2.473
-4.696 2.711 2.473
0.000 -5.423 2.473
Y Co B
1 12 6
direct
0.000 0.000 0.000 Y
0.132 0.500 0.868 Co
0.132 0.868 0.500 Co
0.186 0.457 0.457 Co
0.457 0.186 0.457 Co
0.457 0.457 0.186 Co
0.500 0.132 0.868 Co
0.500 0.868 0.132 Co
0.543 0.543 0.814 Co
0.543 0.814 0.543 Co
0.814 0.543 0.543 Co
0.868 0.132 0.500 Co
0.868 0.500 0.132 Co
0.233 0.233 0.676 B
0.233 0.676 0.233 B
0.324 0.767 0.767 B
0.676 0.233 0.233 B
0.767 0.324 0.767 B
0.767 0.767 0.324 B
```

Simulated powder X-ray diffraction pattern of CdCuAsHO5 for copper Kα, from DFT lattice parameters and positions (GGA-PBE).
Kinematic intensities with the Lorentz-polarization factor, no thermal factor.

The 6 most intense peaks (10 to 80 degrees two-theta), low angle first:
two_theta  I (rel.)
21.2  40
28.2  100
31.3  75
33.4  61
34.3  47
34.8  53

Structural model:
```
CdCuAsHO5
1.0
7.435 0.000 0.000
0.000 6.045 0.000
0.000 0.000 9.272
Cd Cu As H O
4 4 4 4 20
direct
0.121 0.250 0.184 Cd
0.379 0.750 0.684 Cd
0.621 0.250 0.316 Cd
0.879 0.750 0.816 Cd
0.000 0.000 0.500 Cu
0.000 0.500 0.500 Cu
0.500 0.000 0.000 Cu
0.500 0.500 0.000 Cu
0.130 0.250 0.841 As
0.370 0.750 0.341 As
0.630 0.250 0.659 As
0.870 0.750 0.159 As
0.241 0.750 0.970 H
0.259 0.250 0.470 H
0.741 0.750 0.530 H
0.759 0.250 0.030 H
0.036 0.750 0.030 O
0.126 0.012 0.739 O
0.126 0.488 0.739 O
0.133 0.250 0.431 O
0.174 0.750 0.453 O
0.326 0.250 0.953 O
0.367 0.750 0.931 O
0.374 0.512 0.239 O
0.374 0.988 0.239 O
0.464 0.250 0.530 O
0.536 0.750 0.470 O
0.626 0.012 0.761 O
0.626 0.488 0.761 O
0.633 0.250 0.069 O
0.674 0.750 0.047 O
0.826 0.250 0.547 O
0.867 0.750 0.569 O
0.874 0.512 0.261 O
0.874 0.988 0.261 O
0.964 0.250 0.970 O
```

Simulated powder X-ray diffraction pattern of ThHg2 for copper Kα, from DFT lattice parameters and positions (GGA-PBE).
Kinematic intensities with the Lorentz-polarization factor, no thermal factor.

The 6 most intense peaks (10 to 80 degrees two-theta), low angle first:
two_theta  I (rel.)
31.7  100
36.4  86
41.8  18
49.1  30
62.1  17
62.6  30

Structural model:
```
ThHg2
1.0
4.930 0.000 0.000
-2.465 4.270 0.000
0.000 0.000 7.522
Th Hg
2 4
direct
0.000 0.000 0.250 Th
0.000 0.000 0.750 Th
0.333 0.667 0.042 Hg
0.333 0.667 0.458 Hg
0.667 0.333 0.542 Hg
0.667 0.333 0.958 Hg
```

Simulated powder X-ray diffraction pattern of Zr6Co23 for copper Kα, from DFT lattice parameters and positions (GGA-PBE).
Kinematic intensities with the Lorentz-polarization factor, no thermal factor.

The 6 most intense peaks (10 to 80 degrees two-theta), low angle first:
two_theta  I (rel.)
38.3  19
40.8  60
44.6  100
46.7  17
47.4  11
69.3  13

Structural model:
```
Zr6Co23
1.0
0.000 5.752 5.752
5.752 0.000 5.752
5.752 5.752 0.000
Zr Co
6 23
direct
0.211 0.211 0.789 Zr
0.211 0.789 0.211 Zr
0.211 0.789 0.789 Zr
0.789 0.211 0.211 Zr
0.789 0.211 0.789 Zr
0.789 0.789 0.211 Zr
0.000 0.000 0.500 Co
0.000 0.500 0.000 Co
0.000 0.500 0.500 Co
0.137 0.621 0.621 Co
0.175 0.175 0.175 Co
0.175 0.175 0.475 Co
0.175 0.475 0.175 Co
0.379 0.379 0.379 Co
0.379 0.379 0.863 Co
0.379 0.863 0.379 Co
0.475 0.175 0.175 Co
0.500 0.000 0.000 Co
0.500 0.000 0.500 Co
0.500 0.500 0.000 Co
0.500 0.500 0.500 Co
0.525 0.825 0.825 Co
0.621 0.137 0.621 Co
0.621 0.621 0.137 Co
0.621 0.621 0.621 Co
0.825 0.525 0.825 Co
0.825 0.825 0.525 Co
0.825 0.825 0.825 Co
0.863 0.379 0.379 Co
```

Simulated powder X-ray diffraction pattern of PrInAg2 for copper Kα, from DFT lattice parameters and positions (GGA-PBE).
Kinematic intensities with the Lorentz-polarization factor, no thermal factor.

The 6 most intense peaks (10 to 80 degrees two-theta), low angle first:
two_theta  I (rel.)
21.4  1
24.8  1
35.3  100
50.8  17
63.4  35
74.7  11

Structural model:
```
PrInAg2
1.0
0.000 3.593 3.593
3.593 0.000 3.593
3.593 3.593 0.000
Pr In Ag
1 1 2
direct
0.000 0.000 0.000 Pr
0.500 0.500 0.500 In
0.250 0.250 0.250 Ag
0.750 0.750 0.750 Ag
```

Simulated powder X-ray diffraction pattern of Er2Ga3Cu for copper Kα, from DFT lattice parameters and positions (GGA-PBE).
Kinematic intensities with the Lorentz-polarization factor, no thermal factor.

The 6 most intense peaks (10 to 80 degrees two-theta), low angle first:
two_theta  I (rel.)
23.6  22
34.6  100
41.4  57
55.1  26
67.9  14
71.2  24

Structural model:
```
Er2Ga3Cu
1.0
4.357 0.000 0.000
-2.179 3.773 0.000
0.000 0.000 7.138
Er Ga Cu
2 3 1
direct
0.000 0.000 0.000 Er
0.000 0.000 0.470 Er
0.333 0.667 0.216 Ga
0.333 0.667 0.785 Ga
0.667 0.333 0.688 Ga
0.667 0.333 0.276 Cu
```

Simulated powder X-ray diffraction pattern of SnH4N2F2 for copper Kα, from DFT lattice parameters and positions (GGA-PBE).
Kinematic intensities with the Lorentz-polarization factor, no thermal factor.

The 6 most intense peaks (10 to 80 degrees two-theta), low angle first:
two_theta  I (rel.)
17.0  100
18.1  79
21.2  46
28.2  31
28.3  56
35.1  59

Structural model:
```
SnH4N2F2
1.0
5.427 -1.652 0.000
5.427 1.652 0.000
-1.395 0.000 4.906
Sn H N F
1 4 2 2
direct
0.000 0.000 0.000 Sn
0.298 0.298 0.777 H
0.391 0.391 0.567 H
0.609 0.609 0.433 H
0.702 0.702 0.223 H
0.392 0.392 0.768 N
0.608 0.608 0.232 N
0.120 0.120 0.753 F
0.880 0.880 0.247 F
```

Simulated powder X-ray diffraction pattern of SmMgAg for copper Kα, from DFT lattice parameters and positions (GGA-PBE).
Kinematic intensities with the Lorentz-polarization factor, no thermal factor.

The 6 most intense peaks (10 to 80 degrees two-theta), low angle first:
two_theta  I (rel.)
23.0  33
31.1  80
33.9  100
40.4  28
41.4  25
41.9  23

Structural model:
```
SmMgAg
1.0
7.728 0.000 0.000
-3.864 6.693 0.000
0.000 0.000 4.314
Sm Mg Ag
3 3 3
direct
0.000 0.585 0.000 Sm
0.415 0.415 0.000 Sm
0.585 0.000 0.000 Sm
0.000 0.243 0.500 Mg
0.243 0.000 0.500 Mg
0.757 0.757 0.500 Mg
0.000 0.000 0.000 Ag
0.333 0.667 0.500 Ag
0.667 0.333 0.500 Ag
```

Simulated powder X-ray diffraction pattern of KHg2B for copper Kα, from DFT lattice parameters and positions (GGA-PBE).
Kinematic intensities with the Lorentz-polarization factor, no thermal factor.

The 6 most intense peaks (10 to 80 degrees two-theta), low angle first:
two_theta  I (rel.)
21.1  69
34.8  100
41.0  40
50.0  18
54.9  18
62.4  37

Structural model:
```
KHg2B
1.0
0.000 3.648 3.648
3.648 0.000 3.648
3.648 3.648 0.000
K Hg B
1 2 1
direct
0.000 0.000 0.000 K
0.500 0.500 0.500 Hg
0.750 0.750 0.750 Hg
0.250 0.250 0.250 B
```

Simulated powder X-ray diffraction pattern of Ba3PN for copper Kα, from DFT lattice parameters and positions (GGA-PBE).
Kinematic intensities with the Lorentz-polarization factor, no thermal factor.

The 6 most intense peaks (10 to 80 degrees two-theta), low angle first:
two_theta  I (rel.)
16.3  22
28.4  100
32.9  58
47.2  41
55.9  44
78.5  18

Structural model:
```
Ba3PN
1.0
5.451 0.000 0.000
0.000 5.451 0.000
0.000 0.000 5.451
Ba P N
3 1 1
direct
0.000 0.000 0.500 Ba
0.000 0.500 0.000 Ba
0.500 0.000 0.000 Ba
0.500 0.500 0.500 P
0.000 0.000 0.000 N
```